No. 1
Theoretical PXRD pattern of LiMo2P3O12 for Cu Ka, from a GGA+U-relaxed structure.

Crystal structure
Cell lengths 8.8075, 8.8075, 8.8128 Å; angles 119.29, 119.29, 60.49 degrees
Element x y z (fractional)
Li: 0.2410 0.2410 0.2376
Li: 0.7590 0.7590 0.7624
Mo: 0.1873 0.0304 0.8249
Mo: 0.4680 0.3148 0.6737
Mo: 0.6852 0.5320 0.3263
Mo: 0.9696 0.8127 0.1751
P: 0.0728 0.6325 0.4984
P: 0.2867 0.4254 0.0045
P: 0.3675 0.9272 0.5016
P: 0.5746 0.7133 0.9955
P: 0.7888 0.2112 0.5000
P: 0.8669 0.1331 0.0000
O: 0.0158 0.6660 0.3180
O: 0.0554 0.1155 0.0065
O: 0.1033 0.5905 0.0036
O: 0.1273 0.7880 0.6703
O: 0.2120 0.8727 0.3297
O: 0.2304 0.4434 0.4846
O: 0.2663 0.2671 0.0163
O: 0.3197 0.3748 0.8273
O: 0.3340 0.9842 0.6820
O: 0.3804 0.0944 0.4963
O: 0.4095 0.8967 0.9964
O: 0.4464 0.4794 0.1783
O: 0.5206 0.5536 0.8217
O: 0.5566 0.7696 0.5154
O: 0.6037 0.2350 0.5024
O: 0.6252 0.6803 0.1727
O: 0.7121 0.1637 0.8236
O: 0.7329 0.7337 0.9837
O: 0.7650 0.3963 0.4976
O: 0.8206 0.0492 0.3248
O: 0.8363 0.2879 0.1764
O: 0.8845 0.9446 0.9935
O: 0.9056 0.6196 0.5037
O: 0.9508 0.1794 0.6752

Principal peaks in the range 10 to 90 degrees two-theta, low angle first:
Position (°2θ)  I_rel
14.2  31
20.0  100
20.2  92
23.5  27
23.5  27
23.7  27
28.5  64
31.8  32
35.0  30
35.4  25


No. 2
Theoretical PXRD pattern of Li3MoP2O8 for Cu Ka, from a GGA+U-relaxed structure.

Crystal structure
Cell lengths 4.9923, 9.1075, 7.9301 Å; angles 90.00, 124.97, 90.00 degrees
Element x y z (fractional)
Li: 0.0000 0.0000 0.0000
Li: 0.0000 0.5000 0.5000
Li: 0.3231 0.1441 0.8081
Li: 0.3231 0.3559 0.3081
Li: 0.6769 0.6441 0.6919
Li: 0.6769 0.8559 0.1919
Mo: 0.5000 0.0000 0.5000
Mo: 0.5000 0.5000 0.0000
P: 0.1984 0.6827 0.2238
P: 0.1984 0.8173 0.7238
P: 0.8016 0.1827 0.2762
P: 0.8016 0.3173 0.7762
O: 0.1282 0.1345 0.4788
O: 0.1282 0.3655 0.9788
O: 0.1670 0.6469 0.7436
O: 0.1670 0.8531 0.2436
O: 0.2549 0.6015 0.4099
O: 0.2549 0.8985 0.9099
O: 0.4889 0.6520 0.2049
O: 0.4889 0.8480 0.7049
O: 0.5111 0.1520 0.2951
O: 0.5111 0.3480 0.7951
O: 0.7451 0.1015 0.0901
O: 0.7451 0.3985 0.5901
O: 0.8330 0.1469 0.7564
O: 0.8330 0.3531 0.2564
O: 0.8718 0.6345 0.0212
O: 0.8718 0.8655 0.5212

Principal peaks in the range 10 to 90 degrees two-theta, low angle first:
Position (°2θ)  I_rel
16.8  100
20.3  26
23.2  21
23.9  42
25.2  23
29.3  27
30.5  28
33.4  25
33.9  47
34.6  42


No. 3
Theoretical PXRD pattern of LiMoP2O8 for Cu Ka, from a GGA+U-relaxed structure.

Crystal structure
Cell lengths 5.0766, 8.3904, 8.1001 Å; angles 90.00, 119.68, 90.00 degrees
Element x y z (fractional)
Li: 0.0000 0.0000 0.0000
Li: 0.0000 0.5000 0.5000
Mo: 0.5000 0.0000 0.5000
Mo: 0.5000 0.5000 0.0000
P: 0.1703 0.1800 0.7361
P: 0.1703 0.3200 0.2361
P: 0.8297 0.6800 0.7639
P: 0.8297 0.8200 0.2639
O: 0.1605 0.6579 0.9338
O: 0.1605 0.8421 0.4338
O: 0.2299 0.1360 0.2669
O: 0.2299 0.3640 0.7669
O: 0.2367 0.0966 0.9137
O: 0.2367 0.4034 0.4137
O: 0.3779 0.1160 0.6529
O: 0.3779 0.3840 0.1529
O: 0.6221 0.6160 0.8471
O: 0.6221 0.8840 0.3471
O: 0.7633 0.5966 0.5863
O: 0.7633 0.9034 0.0863
O: 0.7701 0.6360 0.2331
O: 0.7701 0.8640 0.7331
O: 0.8395 0.1579 0.5662
O: 0.8395 0.3421 0.0662

Principal peaks in the range 10 to 90 degrees two-theta, low angle first:
Position (°2θ)  I_rel
16.4  100
20.6  34
22.8  34
23.3  35
24.7  18
25.6  24
29.4  32
30.7  32
33.2  31
36.8  23


No. 4
Theoretical PXRD pattern of LiMoP2O8 for Cu Ka, from a GGA+U-relaxed structure.

Crystal structure
Cell lengths 4.9258, 4.9258, 7.8548 Å; angles 90.00, 90.00, 120.00 degrees
Element x y z (fractional)
Li: 0.0000 0.0000 0.0000
Mo: 0.6667 0.3333 0.3563
P: 0.0000 0.0000 0.5783
P: 0.3333 0.6667 0.1286
O: 0.0000 0.0000 0.7656
O: 0.0264 0.6419 0.2045
O: 0.3153 0.0509 0.4975
O: 0.3333 0.6667 0.9401
O: 0.3581 0.3845 0.2045
O: 0.6155 0.9736 0.2045
O: 0.7356 0.6847 0.4975
O: 0.9491 0.2644 0.4975

Principal peaks in the range 10 to 90 degrees two-theta, low angle first:
Position (°2θ)  I_rel
11.3  96
23.7  100
30.9  38
36.5  19
40.4  15
44.0  11
48.6  12
58.4  13
60.3  9
62.2  10


No. 5
Theoretical PXRD pattern of LiMo3P3O16 for Cu Ka, from a GGA+U-relaxed structure.

Crystal structure
Cell lengths 6.4657, 7.9313, 12.7098 Å; angles 79.64, 77.88, 81.02 degrees
Element x y z (fractional)
Li: 0.0807 0.3501 0.3189
Li: 0.9193 0.6499 0.6811
Mo: 0.1020 0.2497 0.8345
Mo: 0.2929 0.7877 0.4729
Mo: 0.4620 0.7987 0.8479
Mo: 0.5380 0.2013 0.1521
Mo: 0.7071 0.2123 0.5271
Mo: 0.8980 0.7503 0.1655
P: 0.0601 0.1555 0.1105
P: 0.1927 0.1599 0.5669
P: 0.4456 0.5093 0.6875
P: 0.5544 0.4907 0.3125
P: 0.8073 0.8401 0.4331
P: 0.9399 0.8445 0.8895
O: 0.0285 0.2489 0.4936
O: 0.0657 0.9596 0.1174
O: 0.0907 0.5769 0.1742
O: 0.1249 0.2142 0.6798
O: 0.1285 0.2417 0.9928
O: 0.1641 0.7610 0.8377
O: 0.2078 0.9615 0.5828
O: 0.2159 0.1956 0.1798
O: 0.2649 0.6020 0.6278
O: 0.2929 0.9471 0.3633
O: 0.3573 0.3828 0.7888
O: 0.3679 0.5813 0.3878
O: 0.3776 0.0217 0.8419
O: 0.4040 0.2260 0.5071
O: 0.4393 0.7142 0.9819
O: 0.4491 0.3560 0.2689
O: 0.5509 0.6440 0.7311
O: 0.5607 0.2858 0.0181
O: 0.5960 0.7740 0.4929
O: 0.6224 0.9783 0.1581
O: 0.6321 0.4187 0.6122
O: 0.6427 0.6172 0.2112
O: 0.7071 0.0529 0.6367
O: 0.7351 0.3980 0.3722
O: 0.7841 0.8044 0.8202
O: 0.7922 0.0385 0.4172
O: 0.8359 0.2390 0.1623
O: 0.8715 0.7583 0.0072
O: 0.8751 0.7858 0.3202
O: 0.9093 0.4231 0.8258
O: 0.9343 0.0404 0.8826
O: 0.9715 0.7511 0.5064

Principal peaks in the range 10 to 90 degrees two-theta, low angle first:
Position (°2θ)  I_rel
14.6  48
19.3  72
20.2  81
20.9  57
21.7  100
23.0  94
23.6  47
25.3  43
29.2  53
29.4  67


No. 6
Theoretical PXRD pattern of LiMoP2O8 for Cu Ka, from a GGA+U-relaxed structure.

Crystal structure
Cell lengths 5.1646, 5.1646, 14.1336 Å; angles 94.79, 94.79, 54.92 degrees
Element x y z (fractional)
Li: 0.0873 0.9127 0.7500
Li: 0.9127 0.0873 0.2500
Mo: 0.0000 0.0000 0.0000
Mo: 0.0000 0.0000 0.5000
P: 0.3182 0.3609 0.1180
P: 0.3609 0.3182 0.6180
P: 0.6391 0.6818 0.3820
P: 0.6818 0.6391 0.8820
O: 0.0736 0.2867 0.0802
O: 0.1377 0.7316 0.1159
O: 0.2238 0.4760 0.7110
O: 0.2249 0.5717 0.5385
O: 0.2684 0.8623 0.3841
O: 0.2867 0.0736 0.5802
O: 0.4283 0.7751 0.9615
O: 0.4760 0.2238 0.2110
O: 0.5240 0.7762 0.7890
O: 0.5717 0.2249 0.0385
O: 0.7133 0.9264 0.4198
O: 0.7316 0.1377 0.6159
O: 0.7751 0.4283 0.4615
O: 0.7762 0.5240 0.2890
O: 0.8623 0.2684 0.8841
O: 0.9264 0.7133 0.9198

Principal peaks in the range 10 to 90 degrees two-theta, low angle first:
Position (°2θ)  I_rel
12.6  99
19.5  14
21.0  15
24.1  100
24.2  54
30.6  12
32.4  22
35.0  32
37.6  10
56.7  10


No. 7
Theoretical PXRD pattern of LiMoP2O7 for Cu Ka, from a GGA+U-relaxed structure.

Crystal structure
Cell lengths 6.9001, 8.4570, 9.5178 Å; angles 90.00, 106.31, 90.00 degrees
Element x y z (fractional)
Li: 0.2308 0.1015 0.0660
Li: 0.2308 0.3985 0.5660
Li: 0.7692 0.6015 0.4340
Li: 0.7692 0.8985 0.9340
Mo: 0.2823 0.7237 0.9934
Mo: 0.2823 0.7763 0.4934
Mo: 0.7177 0.2237 0.5066
Mo: 0.7177 0.2763 0.0066
P: 0.0516 0.5365 0.2130
P: 0.0516 0.9635 0.7130
P: 0.4514 0.0862 0.7046
P: 0.4514 0.4138 0.2046
P: 0.5486 0.5862 0.7954
P: 0.5486 0.9138 0.2954
P: 0.9484 0.0365 0.2870
P: 0.9484 0.4635 0.7870
O: 0.0740 0.6737 0.1138
O: 0.0740 0.8263 0.6138
O: 0.0821 0.5882 0.3746
O: 0.0821 0.9118 0.8746
O: 0.1466 0.5513 0.8401
O: 0.1466 0.9487 0.3401
O: 0.2216 0.0995 0.7158
O: 0.2216 0.4005 0.2158
O: 0.4096 0.5876 0.6372
O: 0.4096 0.9124 0.1372
O: 0.4730 0.2325 0.6132
O: 0.4730 0.2675 0.1132
O: 0.4737 0.5715 0.1348
O: 0.4737 0.9285 0.6348
O: 0.5263 0.0715 0.3652
O: 0.5263 0.4285 0.8652
O: 0.5270 0.7325 0.8868
O: 0.5270 0.7675 0.3868
O: 0.5904 0.0876 0.8628
O: 0.5904 0.4124 0.3628
O: 0.7784 0.5995 0.7842
O: 0.7784 0.9005 0.2842
O: 0.8534 0.0513 0.6599
O: 0.8534 0.4487 0.1599
O: 0.9179 0.0882 0.1254
O: 0.9179 0.4118 0.6254
O: 0.9260 0.1737 0.3862
O: 0.9260 0.3263 0.8862

Principal peaks in the range 10 to 90 degrees two-theta, low angle first:
Position (°2θ)  I_rel
14.3  22
17.0  99
22.9  36
28.2  20
28.5  36
28.7  100
34.4  19
41.5  11
41.9  17
46.8  11